Na2UGeSe5: theoretical X-ray powder pattern (Cu Kα, 1.54184 Å), based on a GGA-PBE-relaxed structure.

The 10 most intense peaks (10 to 90 degrees two-theta), low angle first:
- 2θ = 11.9°, I = 35.3, (0 2 1)
- 2θ = 13.3°, I = 55.7, (0 0 2)
- 2θ = 16.6°, I = 38.4, (0 2 2)
- 2θ = 22.5°, I = 25.4, (1 1 1)
- 2θ = 29.6°, I = 100.0, (1 1 3)
- 2θ = 30.5°, I = 54.0, (0 6 1)
- 2θ = 35.3°, I = 34.1, (1 5 2)
- 2θ = 40.3°, I = 25.0, (1 1 5)
- 2θ = 42.6°, I = 34.8, (2 0 0)
- 2θ = 49.7°, I = 39.7, (1 7 4)

abc: 4.244 18.032 13.300
angles: 90.00 90.00 90.00
Space group Cmc2_1 (No. 36)
Inequivalent atoms, fractional coordinates:
Na 0.000 0.103 0.000 [4 per cell]
Na 0.000 0.107 0.675 [4 per cell]
U 0.000 0.217 0.374 [4 per cell]
Ge 0.000 0.435 0.764 [4 per cell]
Se 0.000 0.054 0.366 [4 per cell]
Se 0.000 0.288 0.009 [4 per cell]
Se 0.000 0.299 0.729 [4 per cell]
Se 0.000 0.361 0.342 [4 per cell]
Se 0.000 0.494 0.608 [4 per cell]